Theoretical XRD peak list
Compound: CrInNiS4
Radiation: CuKα
Structure: a structure optimized by DFT (PBE)
Peak positions follow from Bragg's law for the DFT cell and can differ from measured ones.

Largest 6 diffraction maxima, by angle, 2θ from 10° to 90°:
2θ = 15.19°, I 31
2θ = 28.88°, I 100
2θ = 29.09°, I 50
2θ = 29.30°, I 31
2θ = 35.27°, I 53
2θ = 50.65°, I 83

Cell and atoms:
a = 7.210 Å, b = 7.210 Å, c = 7.210 Å
α = 120.95°, β = 119.23°, γ = 89.85°
Sites, in units of the cell vectors:
Cr (0.500, 0.000, 0.000)
Cr (0.500, 0.500, 0.500)
In (0.000, 0.000, 0.000)
In (0.500, 0.000, 0.500)
Ni (0.121, 0.371, 0.750)
Ni (0.879, 0.629, 0.250)
S (0.263, 0.271, 0.508)
S (0.263, 0.741, 0.522)
S (0.263, 0.755, 0.992)
S (0.281, 0.259, 0.022)
S (0.719, 0.741, 0.978)
S (0.737, 0.245, 0.008)
S (0.737, 0.259, 0.478)
S (0.737, 0.729, 0.492)



Theoretical XRD peak list
Compound: Cr2InPd2
Radiation: CuKα
Structure: a structure optimized by DFT (PBE)
Peak positions follow from Bragg's law for the DFT cell and can differ from measured ones.

Largest 6 diffraction maxima, by angle, 2θ from 10° to 90°:
2θ = 27.18°, I 28
2θ = 39.01°, I 100
2θ = 39.20°, I 71
2θ = 48.36°, I 29
2θ = 70.54°, I 23
2θ = 76.30°, I 18

Cell and atoms:
a = 7.267 Å, b = 7.267 Å, c = 3.281 Å
α = 90.00°, β = 90.00°, γ = 90.00°
Sites, in units of the cell vectors:
Cr (0.159, 0.341, 0.000)
Cr (0.341, 0.841, 0.000)
Cr (0.659, 0.159, 0.000)
Cr (0.841, 0.659, 0.000)
In (0.000, 0.000, 0.500)
In (0.500, 0.500, 0.500)
Pd (0.137, 0.637, 0.500)
Pd (0.363, 0.137, 0.500)
Pd (0.637, 0.863, 0.500)
Pd (0.863, 0.363, 0.500)